# 1
This entry pairs a crystal structure of HoTmInC with its theoretical powder diffractogram. Radiation: λ = 1.5418 Å (Cu Kα). Structure: a GGA-PBE-relaxed structure.
Neutral-atom scattering factors, no anomalous dispersion.

Cell lengths 3.5644, 3.5644, 16.1777 Å; angles 90.00, 90.00, 120.00 degrees
Space group P-3m1 (No. 164)
Asymmetric unit:
Ho  0.3333  0.6667  0.0833 [2 per cell]
Tm  0.3333  0.6667  0.4184 [2 per cell]
In  0.3333  0.6667  0.7484 [2 per cell]
C  0.0000  0.0000  0.0000 [1 per cell]
C  0.0000  0.0000  0.5000 [1 per cell]

Peak list (12 most intense, 2θ from 10° to 90°, in order of rising 2θ)
Position (°2θ), intensity
10.94, 6
28.92, 22
33.23, 21
33.45, 100
44.62, 16
51.26, 21
59.51, 19
62.47, 21
62.60, 16
70.27, 4
82.35, 8
85.07, 14

---

# 2
This entry pairs a crystal structure of Nd2Zn3Ge6 with its theoretical powder diffractogram. Radiation: λ = 1.5418 Å (Cu Kα). Structure: a GGA-PBE-relaxed structure.
Neutral-atom scattering factors, no anomalous dispersion.

Cell lengths 5.949, 24.792, 5.945 Å; angles 90.00, 90.00, 90.00 degrees
Space group Cmcm (No. 63)
Asymmetric unit:
Nd  0.000  0.106  0.250 [4 per cell]
Nd  0.000  0.394  0.250 [4 per cell]
Zn  0.000  0.160  0.750 [4 per cell]
Zn  0.235  0.500  0.000 [8 per cell]
Ge  0.000  0.058  0.750 [4 per cell]
Ge  0.000  0.430  0.750 [4 per cell]
Ge  0.216  0.299  0.534 [16 per cell]

Peak list (12 most intense, 2θ from 10° to 90°, in order of rising 2θ)
Position (°2θ), intensity
23.74, 12
30.92, 21
33.07, 53
33.42, 100
36.23, 22
37.25, 52
43.02, 69
45.67, 28
55.31, 21
57.47, 19
64.54, 24
72.73, 17

---

# 3
This entry pairs a crystal structure of TbZnNO with its theoretical powder diffractogram. Radiation: λ = 1.5418 Å (Cu Kα). Structure: a GGA-PBE-relaxed structure.
Neutral-atom scattering factors, no anomalous dispersion.

Cell lengths 3.399, 3.399, 4.438 Å; angles 90.00, 90.00, 90.00 degrees
Space group P4/mmm (No. 123)
Asymmetric unit:
Tb  0.000  0.000  0.000 [1 per cell]
Zn  0.500  0.500  0.500 [1 per cell]
N  0.500  0.500  0.000 [1 per cell]
O  0.000  0.000  0.500 [1 per cell]

Peak list (12 most intense, 2θ from 10° to 90°, in order of rising 2θ)
Position (°2θ), intensity
20.01, 15
26.22, 18
33.20, 100
37.42, 62
40.66, 24
42.79, 9
49.02, 7
53.95, 20
56.44, 35
64.83, 31
69.27, 13
69.69, 18

---

Copy entry 2 word for word.
This entry pairs a crystal structure of Nd2Zn3Ge6 with its theoretical powder diffractogram. Radiation: λ = 1.5418 Å (Cu Kα). Structure: a GGA-PBE-relaxed structure.
Neutral-atom scattering factors, no anomalous dispersion.

Cell lengths 5.949, 24.792, 5.945 Å; angles 90.00, 90.00, 90.00 degrees
Space group Cmcm (No. 63)
Asymmetric unit:
Nd  0.000  0.106  0.250 [4 per cell]
Nd  0.000  0.394  0.250 [4 per cell]
Zn  0.000  0.160  0.750 [4 per cell]
Zn  0.235  0.500  0.000 [8 per cell]
Ge  0.000  0.058  0.750 [4 per cell]
Ge  0.000  0.430  0.750 [4 per cell]
Ge  0.216  0.299  0.534 [16 per cell]

Peak list (12 most intense, 2θ from 10° to 90°, in order of rising 2θ)
Position (°2θ), intensity
23.74, 12
30.92, 21
33.07, 53
33.42, 100
36.23, 22
37.25, 52
43.02, 69
45.67, 28
55.31, 21
57.47, 19
64.54, 24
72.73, 17